Structure and computed PXRD pattern of BaV13O18 (a cell relaxed with PBE+U; λ = 1.5418 Å (Cu Kα)).

Principal peaks in the range 10 to 80 degrees two-theta, low angle first:
- 2θ = 23.82°, d 3.735, I = 32
- 2θ = 23.94°, d 3.718, I = 15
- 2θ = 25.44°, d 3.501, I = 23
- 2θ = 41.12°, d 2.195, I = 59
- 2θ = 42.82°, d 2.112, I = 100
- 2θ = 60.64°, d 1.527, I = 17
- 2θ = 60.84°, d 1.522, I = 29
- 2θ = 61.14°, d 1.516, I = 15
- 2θ = 62.08°, d 1.495, I = 18
- 2θ = 62.25°, d 1.491, I = 14

Atomic structure:
Unit cell a=7.400 b=7.925 c=8.020 alpha=111.32 beta=106.05 gamma=108.59
Space group P1 (No. 1)
Inequivalent atoms, fractional coordinates:
Ba1 0.000 0.000 0.000 x1
V1 0.078 0.196 0.507 x1
V2 0.115 0.690 0.197 x1
V3 0.232 0.638 0.572 x1
V4 0.343 0.587 0.942 x1
V5 0.393 0.046 0.632 x1
V6 0.426 0.503 0.299 x1
V7 0.496 0.995 0.998 x1
V8 0.566 0.496 0.691 x1
V9 0.601 0.959 0.371 x1
V10 0.645 0.424 0.058 x1
V11 0.762 0.362 0.422 x1
V12 0.878 0.314 0.803 x1
V13 0.916 0.806 0.490 x1
O1 0.057 0.456 0.669 x1
O2 0.111 0.943 0.377 x1
O3 0.151 0.435 0.046 x1
O4 0.210 0.890 0.734 x1
O5 0.276 0.383 0.442 x1
O6 0.322 0.845 0.112 x1
O7 0.382 0.329 0.781 x1
O8 0.386 0.773 0.439 x1
O9 0.486 0.259 0.165 x1
O10 0.511 0.736 0.824 x1
O11 0.610 0.233 0.563 x1
O12 0.614 0.682 0.216 x1
O13 0.667 0.165 0.896 x1
O14 0.714 0.616 0.556 x1
O15 0.782 0.103 0.264 x1
O16 0.832 0.562 0.947 x1
O17 0.888 0.067 0.623 x1
O18 0.938 0.546 0.322 x1